# 1
Simulated X-ray powder pattern
Compound: TmBe2AlAu4
Radiation: Cu Ka
Structure: a cell relaxed with GGA-PBE
Peak positions follow from Bragg's law for the DFT cell and can differ from measured ones.

Peak list (10 most intense, 5° ≤ 2θ ≤ 70°, in order of falling intensity)
| 2θ/deg | I/Imax |
| --- | --- |
| 42.89 | 100 |
| 36.65 | 89 |
| 27.90 | 84 |
| 34.13 | 53 |
| 69.47 | 36 |
| 25.30 | 32 |
| 42.17 | 29 |
| 57.66 | 24 |
| 29.72 | 20 |
| 45.13 | 19 |

Crystal structure
```
TmBe2AlAu4
1.0
2.109 1.217 8.821
-2.109 1.217 8.821
0.000 -2.435 8.821
Tm Be Al Au
1 2 1 4
direct
0.000 0.000 0.000
0.247 0.247 0.247
0.753 0.753 0.753
0.500 0.500 0.500
0.127 0.127 0.127
0.398 0.398 0.398
0.602 0.602 0.602
0.873 0.873 0.873
```

# 2
Simulated X-ray powder pattern
Compound: DyMn9P4
Radiation: Cu Ka
Structure: a cell relaxed with GGA-PBE
Peak positions follow from Bragg's law for the DFT cell and can differ from measured ones.

Peak list (10 most intense, 5° ≤ 2θ ≤ 70°, in order of falling intensity)
| 2θ/deg | I/Imax |
| --- | --- |
| 40.62 | 100 |
| 35.02 | 33 |
| 38.95 | 30 |
| 49.19 | 23 |
| 36.85 | 22 |
| 47.27 | 22 |
| 37.44 | 19 |
| 50.13 | 14 |
| 57.96 | 13 |
| 30.67 | 13 |

Crystal structure
```
DyMn9P4
1.0
-3.798 3.798 5.831
3.798 -3.798 5.831
3.798 3.798 -5.831
Dy Mn P
2 18 8
direct
0.250 0.250 0.000
0.750 0.750 0.000
0.000 0.500 0.500
0.045 0.545 0.236
0.066 0.811 0.878
0.189 0.066 0.255
0.191 0.955 0.500
0.309 0.809 0.764
0.311 0.566 0.878
0.434 0.311 0.745
0.455 0.691 0.500
0.500 0.000 0.500
0.545 0.309 0.500
0.566 0.689 0.255
0.689 0.434 0.122
0.691 0.191 0.236
0.809 0.045 0.500
0.811 0.934 0.745
0.934 0.189 0.122
0.955 0.455 0.764
0.034 0.205 0.500
0.205 0.705 0.171
0.295 0.466 0.500
0.466 0.966 0.171
0.534 0.034 0.829
0.705 0.534 0.500
0.795 0.295 0.829
0.966 0.795 0.500
```

# 3
Simulated X-ray powder pattern
Compound: Ni5As3
Radiation: Cu Ka
Structure: a cell relaxed with GGA-PBE
Peak positions follow from Bragg's law for the DFT cell and can differ from measured ones.

Peak list (10 most intense, 5° ≤ 2θ ≤ 70°, in order of falling intensity)
| 2θ/deg | I/Imax |
| --- | --- |
| 45.18 | 100 |
| 43.52 | 92 |
| 58.09 | 30 |
| 64.54 | 24 |
| 14.71 | 24 |
| 34.56 | 23 |
| 43.42 | 15 |
| 25.63 | 10 |
| 39.61 | 6 |
| 37.75 | 6 |

Crystal structure
```
Ni5As3
1.0
6.952 0.000 0.000
-3.476 6.020 0.000
0.000 0.000 5.190
Ni As
10 6
direct
0.000 0.358 0.250
0.000 0.642 0.750
0.333 0.667 0.000
0.333 0.667 0.500
0.358 0.000 0.250
0.358 0.358 0.750
0.642 0.000 0.750
0.642 0.642 0.250
0.667 0.333 0.000
0.667 0.333 0.500
0.000 0.309 0.750
0.000 0.691 0.250
0.309 0.000 0.750
0.309 0.309 0.250
0.691 0.000 0.250
0.691 0.691 0.750
```

Number 2 is which compound? DyMn9P4